Record 1
For LaZnIn, a PBE-relaxed structure gives the simulated powder XRD pattern in this record (Cu Kα (λ = 1.5418 Å)).
Neutral-atom scattering factors, no anomalous dispersion.

Principal peaks in the range 2θ = 15–90°, low angle first:
- 2θ 31.40, rel. 55.0
- 2θ 31.60, rel. 100.0
- 2θ 37.06, rel. 70.5
- 2θ 37.59, rel. 34.1
- 2θ 49.19, rel. 13.1
- 2θ 49.76, rel. 29.8
- 2θ 61.37, rel. 20.9
- 2θ 63.16, rel. 15.3
- 2θ 64.12, rel. 12.7
- 2θ 67.49, rel. 13.1

Cell and atoms:
```
LaZnIn
1.0
4.7852 0.0000 0.0000
0.0000 8.4429 0.0000
0.0000 0.0000 7.7231
La Zn In
4 4 4
Cartesian
0.0000 0.0000 0.0000
0.0000 0.0000 3.7912
2.3926 4.2214 3.8616
2.3926 4.2214 7.6528
0.0000 2.8506 5.4243
0.0000 5.5923 5.4243
2.3926 1.3708 1.5627
2.3926 7.0721 1.5627
0.0000 2.7533 2.0830
0.0000 5.6896 2.0830
2.3926 1.4681 5.9446
2.3926 6.9748 5.9446
```



Record 2
For Hf3Ni4Bi2As2, a PBE-relaxed structure gives the simulated powder XRD pattern in this record (Cu Kα (λ = 1.5418 Å)).
Neutral-atom scattering factors, no anomalous dispersion.

Principal peaks in the range 2θ = 15–90°, low angle first:
- 2θ 16.59, rel. 19.3
- 2θ 21.14, rel. 30.5
- 2θ 29.31, rel. 26.7
- 2θ 30.07, rel. 48.9
- 2θ 36.42, rel. 16.7
- 2θ 42.48, rel. 100.0
- 2θ 43.04, rel. 48.9
- 2θ 52.92, rel. 21.7
- 2θ 77.35, rel. 16.3
- 2θ 78.51, rel. 32.8

Cell and atoms:
```
Hf3Ni4Bi2As2
1.0
-2.9722 2.9722 6.0949
2.9722 -2.9722 6.0949
2.9722 2.9722 -6.0949
Hf Ni Bi As
3 4 2 2
Cartesian
0.0000 0.0000 0.0000
2.9722 0.0000 3.0475
0.0000 2.9722 3.0475
1.4326 1.4326 -1.6684
1.5396 -1.5396 7.7633
1.5396 1.5396 4.4265
-1.5396 1.5396 7.7633
2.9722 0.0000 0.0000
0.0000 2.9722 0.0000
0.0000 0.0000 3.0979
0.0000 0.0000 9.0919
```



Record 3
For NdAlNiPd, a PBE-relaxed structure gives the simulated powder XRD pattern in this record (Cu Kα (λ = 1.5418 Å)).
Neutral-atom scattering factors, no anomalous dispersion.

Principal peaks in the range 2θ = 15–90°, low angle first:
- 2θ 23.80, rel. 42.0
- 2θ 25.58, rel. 16.9
- 2θ 37.06, rel. 100.0
- 2θ 41.85, rel. 59.6
- 2θ 57.12, rel. 27.9
- 2θ 57.52, rel. 11.0
- 2θ 63.43, rel. 7.7
- 2θ 73.27, rel. 26.1
- 2θ 73.88, rel. 16.7
- 2θ 76.42, rel. 9.7

Cell and atoms:
```
NdAlNiPd
1.0
4.3173 0.0000 0.0000
-2.1586 3.7389 0.0000
0.0000 0.0000 9.5651
Nd Al Ni Pd
2 2 2 2
Cartesian
0.0000 0.0000 0.0000
0.0000 2.4926 4.7825
2.1586 1.2463 2.2956
2.1586 1.2463 7.2695
0.0000 2.4926 1.8095
0.0000 2.4926 7.7556
0.0000 0.0000 3.0096
0.0000 0.0000 6.5555
```



Record 4
For Tl5Cd3, a PBE-relaxed structure gives the simulated powder XRD pattern in this record (Cu Kα (λ = 1.5418 Å)).
Neutral-atom scattering factors, no anomalous dispersion.

Principal peaks in the range 2θ = 15–90°, low angle first:
- 2θ 32.03, rel. 91.0
- 2θ 32.54, rel. 100.0
- 2θ 32.76, rel. 14.3
- 2θ 36.25, rel. 38.1
- 2θ 38.04, rel. 56.6
- 2θ 53.56, rel. 43.3
- 2θ 62.57, rel. 13.4
- 2θ 62.88, rel. 15.1
- 2θ 64.69, rel. 14.5
- 2θ 65.57, rel. 21.9

Cell and atoms:
```
Tl5Cd3
1.0
6.7656 0.0000 0.0000
0.0000 13.2365 0.0000
0.0000 0.0000 4.9561
Tl Cd
10 6
Cartesian
0.0000 0.0000 0.0000
0.2953 3.3944 0.0000
1.4948 8.1892 2.4781
1.8880 1.5709 2.4781
3.0875 10.0127 0.0000
3.3828 6.6183 0.0000
3.6781 3.2238 0.0000
4.8776 11.6656 2.4781
5.2708 5.0473 2.4781
6.4703 9.8421 0.0000
0.0000 6.6183 0.0000
1.5077 11.5473 2.4781
1.8751 4.9290 2.4781
3.3828 0.0000 0.0000
4.8905 8.3075 2.4781
5.2579 1.6893 2.4781
```



Record 5
For TbHf2N3, a PBE-relaxed structure gives the simulated powder XRD pattern in this record (Cu Kα (λ = 1.5418 Å)).
Neutral-atom scattering factors, no anomalous dispersion.

Principal peaks in the range 2θ = 15–90°, low angle first:
- 2θ 33.17, rel. 34.5
- 2θ 33.56, rel. 100.0
- 2θ 38.83, rel. 92.3
- 2θ 55.82, rel. 31.0
- 2θ 56.34, rel. 30.8
- 2θ 66.50, rel. 15.2
- 2θ 66.96, rel. 29.0
- 2θ 67.20, rel. 14.3
- 2θ 70.53, rel. 15.5
- 2θ 83.34, rel. 9.8

Cell and atoms:
```
TbHf2N3
1.0
3.2660 0.0000 0.0000
-1.6330 2.8284 0.0000
0.0000 0.0000 8.1029
Tb Hf N
1 2 3
Cartesian
0.0000 0.0000 0.0000
0.0000 1.8856 2.7396
1.6330 0.9428 5.3633
0.0000 0.0000 4.0515
0.0000 1.8856 6.5586
1.6330 0.9428 1.5443
```



Record 6
For Ba2InGePd4, a PBE-relaxed structure gives the simulated powder XRD pattern in this record (Cu Kα (λ = 1.5418 Å)).
Neutral-atom scattering factors, no anomalous dispersion.

Principal peaks in the range 2θ = 15–90°, low angle first:
- 2θ 15.79, rel. 35.5
- 2θ 31.89, rel. 29.2
- 2θ 32.88, rel. 100.0
- 2θ 39.28, rel. 94.2
- 2θ 42.58, rel. 16.7
- 2θ 51.45, rel. 44.5
- 2θ 52.13, rel. 26.6
- 2θ 62.44, rel. 23.1
- 2θ 67.17, rel. 24.6
- 2θ 71.21, rel. 17.7

Cell and atoms:
```
Ba2InGePd4
1.0
4.5875 0.0000 0.0000
-2.2938 3.9729 0.0000
0.0000 0.0000 11.2261
Ba In Ge Pd
2 1 1 4
Cartesian
0.0000 2.6486 2.7591
2.2938 1.3243 8.4669
0.0000 0.0000 5.6130
0.0000 0.0000 0.0000
0.0000 2.6486 6.1484
0.0000 2.6486 10.7648
2.2938 1.3243 0.4613
2.2938 1.3243 5.0777
```



Record 7
For CsAg3MoSe4, a PBE-relaxed structure gives the simulated powder XRD pattern in this record (Cu Kα (λ = 1.5418 Å)).
Neutral-atom scattering factors, no anomalous dispersion.

Principal peaks in the range 2θ = 15–90°, low angle first:
- 2θ 19.07, rel. 15.9
- 2θ 23.41, rel. 82.3
- 2θ 27.10, rel. 15.1
- 2θ 33.35, rel. 12.4
- 2θ 38.70, rel. 100.0
- 2θ 45.73, rel. 36.1
- 2θ 55.88, rel. 14.2
- 2θ 61.41, rel. 11.0
- 2θ 63.19, rel. 9.9
- 2θ 70.04, rel. 25.8

Cell and atoms:
```
CsAg3MoSe4
1.0
6.5809 0.0000 0.0000
0.0000 6.5809 0.0000
0.0000 0.0000 6.5809
Cs Ag Mo Se
1 3 1 4
Cartesian
0.0000 0.0000 0.0000
0.0000 3.2904 3.2904
3.2904 0.0000 3.2904
3.2904 3.2904 0.0000
3.2904 3.2904 3.2904
1.8829 1.8829 1.8829
1.8829 4.6979 4.6979
4.6979 1.8829 4.6979
4.6979 4.6979 1.8829
```



Record 8
For LiAuC14S4, a PBE-relaxed structure gives the simulated powder XRD pattern in this record (Cu Kα (λ = 1.5418 Å)).
Neutral-atom scattering factors, no anomalous dispersion.

Principal peaks in the range 2θ = 15–90°, low angle first:
- 2θ 15.23, rel. 77.0
- 2θ 15.64, rel. 54.8
- 2θ 19.09, rel. 58.8
- 2θ 19.43, rel. 45.8
- 2θ 24.50, rel. 66.6
- 2θ 25.06, rel. 60.3
- 2θ 25.36, rel. 100.0
- 2θ 28.88, rel. 91.0
- 2θ 31.58, rel. 46.7
- 2θ 32.40, rel. 70.6

Cell and atoms:
```
LiAuC14S4
1.0
5.6339 0.0000 0.0000
-1.5932 6.3058 0.0000
-0.2014 -2.9109 6.9498
Li Au C S
1 1 14 4
Cartesian
0.0000 0.0000 0.0000
-0.8973 1.6975 3.4749
-0.6085 0.7329 6.6010
-0.1839 0.6029 5.1328
-0.2119 5.4280 1.5718
0.1293 4.8332 0.2544
0.4898 5.0212 2.6889
0.9122 2.7698 6.6279
2.1789 -0.7822 4.0510
1.6603 4.1771 2.8988
2.9270 0.6251 0.3219
3.3495 -1.6263 4.2609
3.7100 -1.4383 6.6954
4.0512 -2.0331 5.3780
4.0231 2.7920 1.8171
4.4478 2.6620 0.3488
1.1920 -0.3283 5.3409
1.6867 0.9168 1.5359
2.1526 2.4781 5.4139
2.6473 3.7232 1.6089
```



Record 9
For Cd2SO, a PBE-relaxed structure gives the simulated powder XRD pattern in this record (Cu Kα (λ = 1.5418 Å)).
Neutral-atom scattering factors, no anomalous dispersion.

Principal peaks in the range 2θ = 15–90°, low angle first:
- 2θ 28.33, rel. 37.3
- 2θ 29.18, rel. 30.5
- 2θ 31.08, rel. 100.0
- 2θ 35.24, rel. 45.4
- 2θ 46.38, rel. 12.5
- 2θ 48.36, rel. 42.3
- 2θ 52.94, rel. 30.7
- 2θ 57.48, rel. 26.0
- 2θ 58.61, rel. 15.8
- 2θ 79.32, rel. 12.9

Cell and atoms:
```
Cd2SO
1.0
3.7643 0.0000 0.0000
-1.8821 3.2600 0.0000
0.0000 0.0000 12.2420
Cd S O
4 2 2
Cartesian
0.0000 0.0000 0.0000
0.0000 0.0000 6.1210
0.0000 2.1733 3.2184
1.8821 1.0867 9.3394
0.0000 2.1733 7.4531
1.8821 1.0867 1.3321
0.0000 0.0000 3.9793
0.0000 0.0000 10.1003
```



Record 10
For Li2NbZnS4, a PBE-relaxed structure gives the simulated powder XRD pattern in this record (Cu Kα (λ = 1.5418 Å)).
Neutral-atom scattering factors, no anomalous dispersion.

Principal peaks in the range 2θ = 15–90°, low angle first:
- 2θ 17.19, rel. 83.0
- 2θ 17.88, rel. 100.0
- 2θ 26.02, rel. 65.3
- 2θ 26.26, rel. 38.6
- 2θ 28.08, rel. 60.5
- 2θ 29.63, rel. 47.0
- 2θ 45.76, rel. 30.4
- 2θ 46.19, rel. 52.0
- 2θ 50.67, rel. 50.3
- 2θ 54.93, rel. 32.5

Cell and atoms:
```
Li2NbZnS4
1.0
6.3559 0.0000 0.0000
0.0000 6.7879 0.0000
-6.3404 0.0000 7.9322
Li Nb Zn S
4 2 2 8
Cartesian
0.0000 1.0988 0.0000
-3.1702 5.6890 3.9661
3.1928 2.2732 1.9529
0.0225 4.5147 5.9190
0.0167 1.1550 3.9338
-3.1535 5.6329 7.8999
-3.1423 2.2152 5.9405
0.0279 4.5727 1.9744
-0.7063 2.3328 2.0369
-3.8766 4.4550 6.0030
-3.8617 1.0871 7.8851
-0.6915 5.7007 3.9190
-0.7867 2.1949 5.8798
2.3835 4.5930 1.9137
2.3698 1.2100 3.9920
5.5400 5.5779 0.0259
```



Record 11
For Sm2GdCu4Ge4, a PBE-relaxed structure gives the simulated powder XRD pattern in this record (Cu Kα (λ = 1.5418 Å)).
Neutral-atom scattering factors, no anomalous dispersion.

Principal peaks in the range 2θ = 15–90°, low angle first:
- 2θ 34.43, rel. 27.3
- 2θ 34.65, rel. 91.8
- 2θ 35.58, rel. 100.0
- 2θ 38.17, rel. 21.3
- 2θ 42.28, rel. 38.9
- 2θ 45.00, rel. 28.6
- 2θ 55.61, rel. 13.7
- 2θ 63.45, rel. 19.8
- 2θ 71.66, rel. 17.3
- 2θ 79.93, rel. 14.7

Cell and atoms:
```
Sm2GdCu4Ge4
1.0
-2.1378 3.3423 7.0720
2.1378 -3.3423 7.0720
2.1378 3.3423 -7.0720
Sm Gd Cu Ge
2 1 4 4
Cartesian
0.0000 0.0000 1.8540
0.0000 0.0000 12.2901
0.0000 3.3423 0.0000
2.1378 2.0849 -2.3803
2.1378 2.0849 2.3803
0.0000 1.2573 4.6917
0.0000 1.2573 9.4523
2.1378 1.2883 0.0000
2.1378 0.0000 4.0226
0.0000 3.3423 3.0494
0.0000 2.0540 7.0720
```



Record 12
For TbNd5S6, a PBE-relaxed structure gives the simulated powder XRD pattern in this record (Cu Kα (λ = 1.5418 Å)).
Neutral-atom scattering factors, no anomalous dispersion.

Principal peaks in the range 2θ = 15–90°, low angle first:
- 2θ 26.98, rel. 37.8
- 2θ 27.06, rel. 37.6
- 2θ 31.30, rel. 100.0
- 2θ 44.81, rel. 36.2
- 2θ 44.89, rel. 36.1
- 2θ 53.10, rel. 21.9
- 2θ 53.20, rel. 15.6
- 2θ 55.62, rel. 12.6
- 2θ 55.79, rel. 12.5
- 2θ 74.19, rel. 21.2

Cell and atoms:
```
TbNd5S6
1.0
3.4988 -6.0758 0.0000
3.4988 6.0758 0.0000
-2.3443 0.0000 6.5891
Tb Nd S
1 5 6
Cartesian
0.0000 0.0000 0.0000
2.3266 4.0072 3.2946
3.4988 2.0330 0.0000
2.3266 0.0000 3.2946
3.4988 -2.0330 0.0000
2.3266 -4.0072 3.2946
1.1363 1.9764 1.6106
-0.0628 0.0000 4.9595
1.1363 -1.9764 1.6106
3.5170 1.9764 4.9785
4.7161 0.0000 1.6296
3.5170 -1.9764 4.9785
```



Number 1 is which compound?
LaZnIn